Simulated X-ray diffraction stick pattern
Compound: Pd3Pt4Rh
Radiation: λ = 1.5418 Å (Cu Kα)
Structure: a DFT-relaxed cell (PBE, Alexandria)
Neutral-atom scattering factors, no anomalous dispersion.

Crystal structure
a = 8.4213 Å, b = 8.4213 Å, c = 8.4213 Å
α = 153.03°, β = 153.03°, γ = 38.50°
Sites, in units of the cell vectors:
Pd1 0.0000 0.0000 0.0000
Pd2 0.2513 0.2513 0.0000
Pd3 0.7487 0.7487 0.0000
Pt1 0.1234 0.6234 0.5000
Pt2 0.3766 0.8766 0.5000
Pt3 0.6234 0.1234 0.5000
Pt4 0.8766 0.3766 0.5000
Rh1 0.5000 0.5000 0.0000

The 9 most intense peaks (2θ = 5–70°), in order of rising 2θ:
| 2θ (°) | intensity |
| --- | --- |
| 22.36 | 8.0 |
| 32.24 | 6.7 |
| 39.59 | 100.0 |
| 45.64 | 16.6 |
| 46.24 | 32.2 |
| 51.94 | 3.8 |
| 56.98 | 2.9 |
| 67.00 | 21.2 |
| 67.46 | 10.4 |